No. 1
This entry pairs a crystal structure of SrScFe4 with its computed XRD peak list. Radiation: CuKα. Structure: the PBE geometry in Alexandria.
Kinematic intensities with the Lorentz-polarization factor, no thermal factor.

Structure:
Cell lengths 7.261, 7.261, 7.261 Å; angles 90.00, 90.00, 90.00 degrees
Space group F-43m (No. 216)
Asymmetric unit:
Sr 0.000 0.000 0.000 (multiplicity 4)
Sc 0.250 0.250 0.250 (multiplicity 4)
Fe 0.124 0.124 0.624 (multiplicity 16)

Principal peaks in the range 2θ = 5–70°, low angle first:
d_spacing, I (rel.), h k l
4.192, 6, 1 1 1
3.631, 4, 2 0 0
2.567, 31, 2 2 0
2.189, 100, 3 1 1
2.096, 36, 2 2 2
1.815, 3, 4 0 0
1.482, 11, 4 2 2
1.397, 29, 5 1 1



No. 2
This entry pairs a crystal structure of La3MgOs with its computed XRD peak list. Radiation: CuKα. Structure: the PBE geometry in Alexandria.
Kinematic intensities with the Lorentz-polarization factor, no thermal factor.

Structure:
Cell lengths 12.764, 14.466, 6.922 Å; angles 90.00, 99.33, 90.00 degrees
Space group C2/c (No. 15)
Asymmetric unit:
La 0.112 0.213 0.104 (multiplicity 8)
La 0.117 0.446 0.970 (multiplicity 8)
La 0.137 0.066 0.619 (multiplicity 8)
Mg 0.144 0.315 0.559 (multiplicity 8)
Os 0.000 0.075 0.250 (multiplicity 4)
Os 0.000 0.391 0.250 (multiplicity 4)

Principal peaks in the range 2θ = 5–70°, low angle first:
d_spacing, I (rel.), h k l
7.233, 40, 0 2 0
6.298, 63, 2 0 0
5.250, 71, 1 1 1
3.017, 59, 3 3 -1
2.942, 100, 2 4 -1
2.817, 44, 2 0 2
2.767, 37, 2 4 1
2.081, 54, 1 3 -3



No. 3
This entry pairs a crystal structure of TmGe7Rh3 with its computed XRD peak list. Radiation: CuKα. Structure: the PBE geometry in Alexandria.
Kinematic intensities with the Lorentz-polarization factor, no thermal factor.

Structure:
Cell lengths 7.9195, 7.9195, 20.7170 Å; angles 90.00, 90.00, 120.00 degrees
Space group R-3c (No. 167, hexagonal axes)
Asymmetric unit:
Tm 0.0000 0.0000 0.0000 (multiplicity 6)
Ge 0.0000 0.0000 0.2500 (multiplicity 6)
Ge 0.0129 0.2104 0.1357 (multiplicity 36)
Rh 0.0000 0.3195 0.2500 (multiplicity 18)

Principal peaks in the range 2θ = 5–70°, low angle first:
d_spacing, I (rel.), h k l
3.435, 41, 1 1 3
2.859, 43, 0 2 4
2.572, 61, 2 1 1
2.423, 66, 0 1 8
2.318, 100, 2 1 4
2.286, 57, 3 0 0
1.990, 75, 1 1 9
1.904, 73, 2 2 3



No. 4
This entry pairs a crystal structure of NdDyPu with its computed XRD peak list. Radiation: CuKα. Structure: the PBE geometry in Alexandria.
Kinematic intensities with the Lorentz-polarization factor, no thermal factor.

Structure:
Cell lengths 3.546, 3.546, 14.972 Å; angles 90.00, 90.00, 90.00 degrees
Space group I4mm (No. 107)
Asymmetric unit:
Nd 0.000 0.000 0.000 (multiplicity 2)
Dy 0.000 0.000 0.327 (multiplicity 2)
Pu 0.000 0.000 0.666 (multiplicity 2)

Principal peaks in the range 2θ = 5–70°, low angle first:
d_spacing, I (rel.), h k l
2.891, 100, 1 0 3
2.507, 34, 1 1 0
2.495, 17, 0 0 6
1.773, 12, 2 0 0
1.769, 24, 1 1 6
1.511, 29, 2 1 3
1.506, 14, 1 0 9
1.445, 12, 2 0 6



No. 5
This entry pairs a crystal structure of Pr2SmZn2Pb2 with its computed XRD peak list. Radiation: CuKα. Structure: the PBE geometry in Alexandria.
Kinematic intensities with the Lorentz-polarization factor, no thermal factor.

Structure:
Cell lengths 4.7977, 4.7977, 29.1523 Å; angles 90.00, 90.00, 120.00 degrees
Space group R-3m (No. 166, hexagonal axes)
Asymmetric unit:
Pr 0.0000 0.0000 0.1312 (multiplicity 6)
Sm 0.0000 0.0000 0.0000 (multiplicity 3)
Zn 0.0000 0.0000 0.4218 (multiplicity 6)
Pb 0.0000 0.0000 0.2720 (multiplicity 6)

Principal peaks in the range 2θ = 5–70°, low angle first:
d_spacing, I (rel.), h k l
2.941, 100, 1 0 7
2.740, 27, 0 1 8
2.399, 73, 1 1 0
1.973, 9, 1 0 13
1.860, 38, 0 2 7
1.510, 19, 1 1 15
1.470, 30, 2 1 7
1.385, 13, 3 0 0



No. 6
This entry pairs a crystal structure of Dy6SnHg6 with its computed XRD peak list. Radiation: CuKα. Structure: the PBE geometry in Alexandria.
Kinematic intensities with the Lorentz-polarization factor, no thermal factor.

Structure:
Cell lengths 6.2675, 6.2675, 10.3826 Å; angles 90.00, 90.00, 120.00 degrees
Space group P6/mmm (No. 191)
Asymmetric unit:
Dy 0.0000 0.0000 0.1855 (multiplicity 2)
Dy 0.3333 0.6667 0.0000 (multiplicity 2)
Dy 0.3333 0.6667 0.5000 (multiplicity 2)
Sn 0.0000 0.0000 0.5000 (multiplicity 1)
Hg 0.0000 0.5000 0.2486 (multiplicity 6)

Principal peaks in the range 2θ = 5–70°, low angle first:
d_spacing, I (rel.), h k l
5.191, 18, 0 0 2
3.134, 18, 1 1 0
2.714, 46, 2 0 0
2.683, 46, 1 1 2
2.596, 30, 0 0 4
2.405, 100, 2 0 2
1.567, 27, 2 2 0
1.515, 18, 1 1 6



No. 7
This entry pairs a crystal structure of Ca2ScTl2 with its computed XRD peak list. Radiation: CuKα. Structure: the PBE geometry in Alexandria.
Kinematic intensities with the Lorentz-polarization factor, no thermal factor.

Structure:
Cell lengths 8.461, 8.461, 4.087 Å; angles 90.00, 90.00, 90.00 degrees
Space group P4/mbm (No. 127)
Asymmetric unit:
Ca 0.164 0.336 0.000 (multiplicity 4)
Sc 0.000 0.000 0.500 (multiplicity 2)
Tl 0.139 0.639 0.500 (multiplicity 4)

Principal peaks in the range 2θ = 5–70°, low angle first:
d_spacing, I (rel.), h k l
5.983, 23, 1 1 0
4.087, 32, 0 0 1
3.784, 45, 2 1 0
2.777, 100, 2 1 1
2.676, 33, 3 1 0
2.239, 21, 3 1 1
1.624, 14, 3 1 2
1.467, 21, 5 2 1



No. 8
This entry pairs a crystal structure of K3CaS2O8 with its computed XRD peak list. Radiation: CuKα. Structure: the PBE geometry in Alexandria.
Kinematic intensities with the Lorentz-polarization factor, no thermal factor.

Structure:
Cell lengths 5.9139, 5.9139, 8.1924 Å; angles 90.00, 90.00, 120.00 degrees
Space group P-3m1 (No. 164)
Asymmetric unit:
K 0.0000 0.0000 0.0000 (multiplicity 1)
K 0.3333 0.6667 0.7495 (multiplicity 2)
Ca 0.0000 0.0000 0.5000 (multiplicity 1)
S 0.3333 0.6667 0.2796 (multiplicity 2)
O 0.1947 0.3894 0.3421 (multiplicity 6)
O 0.3333 0.6667 0.0990 (multiplicity 2)

Principal peaks in the range 2θ = 5–70°, low angle first:
d_spacing, I (rel.), h k l
4.343, 17, 1 0 1
3.199, 100, 1 0 2
2.957, 98, 1 1 0
2.171, 43, 2 0 2
1.750, 21, 1 2 2
1.707, 14, 3 0 0
1.684, 22, 1 1 4
1.478, 16, 2 2 0



No. 9
This entry pairs a crystal structure of CaSnH2F8 with its computed XRD peak list. Radiation: CuKα. Structure: the PBE geometry in Alexandria.
Kinematic intensities with the Lorentz-polarization factor, no thermal factor.

Structure:
Cell lengths 4.835, 5.011, 7.012 Å; angles 97.89, 90.20, 105.44 degrees
Space group P-1 (No. 2)
Asymmetric unit:
Ca 0.000 0.000 0.000 (multiplicity 1)
Sn 0.000 0.000 0.500 (multiplicity 1)
H 0.274 0.538 0.838 (multiplicity 2)
F 0.213 0.197 0.289 (multiplicity 2)
F 0.214 0.258 0.752 (multiplicity 2)
F 0.256 0.762 0.500 (multiplicity 2)
F 0.297 0.708 0.938 (multiplicity 2)

Principal peaks in the range 2θ = 5–70°, low angle first:
d_spacing, I (rel.), h k l
6.940, 62, 0 0 1
4.781, 100, 0 1 0
4.657, 100, 1 0 0
3.902, 65, 1 -1 0
3.470, 41, 0 0 2
2.961, 33, 1 1 0
2.393, 52, 1 1 -2
2.134, 40, 1 1 2



No. 10
This entry pairs a crystal structure of Sc4Ni2Ge5 with its computed XRD peak list. Radiation: CuKα. Structure: the PBE geometry in Alexandria.
Kinematic intensities with the Lorentz-polarization factor, no thermal factor.

Structure:
Cell lengths 8.615, 16.372, 5.401 Å; angles 90.00, 90.00, 90.00 degrees
Space group Ibam (No. 72)
Asymmetric unit:
Sc 0.117 0.147 0.000 (multiplicity 8)
Sc 0.238 0.434 0.000 (multiplicity 8)
Ni 0.000 0.312 0.250 (multiplicity 8)
Ge 0.000 0.000 0.250 (multiplicity 4)
Ge 0.086 0.425 0.500 (multiplicity 8)
Ge 0.170 0.222 0.500 (multiplicity 8)

Principal peaks in the range 2θ = 5–70°, low angle first:
d_spacing, I (rel.), h k l
2.542, 80, 3 3 0
2.422, 75, 3 2 1
2.346, 100, 2 5 1
2.330, 99, 1 3 2
2.288, 41, 2 0 2
2.157, 39, 3 4 1
1.920, 46, 0 6 2
1.878, 35, 4 3 1



No. 11
This entry pairs a crystal structure of Tb6NdTl4 with its computed XRD peak list. Radiation: CuKα. Structure: the PBE geometry in Alexandria.
Kinematic intensities with the Lorentz-polarization factor, no thermal factor.

Structure:
Cell lengths 10.1520, 10.1520, 3.7718 Å; angles 90.00, 90.00, 120.00 degrees
Space group P-6m2 (No. 187)
Asymmetric unit:
Tb 0.1920 0.3840 0.0000 (multiplicity 3)
Tb 0.5401 0.0801 0.5000 (multiplicity 3)
Nd 0.0000 0.0000 0.5000 (multiplicity 1)
Tl 0.3245 0.1622 0.0000 (multiplicity 3)
Tl 0.3333 0.6667 0.5000 (multiplicity 1)

Principal peaks in the range 2θ = 5–70°, low angle first:
d_spacing, I (rel.), h k l
3.027, 48, 1 1 1
2.931, 36, 3 0 0
2.863, 100, 2 0 1
2.538, 90, 2 2 0
2.493, 76, 2 1 1
1.886, 21, 0 0 2
1.594, 21, 5 0 1
1.514, 37, 2 2 2